# GdTmAl2I2
Theoretical PXRD pattern, Cu Kα (weighted mean of Kα1 and Kα2). Input: a crystal structure in OQMD, relaxed with PBE.
Neutral-atom scattering factors, no anomalous dispersion.

Structural model:
```
data_GdTmAl2I2
_chemical_formula_sum 'Gd1 Tm1 Al2 I2'
_cell_length_a 4.282
_cell_length_b 4.282
_cell_length_c 12.084
_cell_angle_alpha 90.00
_cell_angle_beta 90.00
_cell_angle_gamma 120.00
_symmetry_space_group_name_H-M 'P 1'
_symmetry_Int_Tables_number 1
_symmetry_space_group_name_Hall 'P 1'
loop_
_atom_site_label
_atom_site_type_symbol
_atom_site_fract_x
_atom_site_fract_y
_atom_site_fract_z
Gd1 Gd 0.000 0.000 0.000
Tm1 Tm 0.000 0.000 0.664
Al1 Al 0.333 0.667 0.846
Al2 Al 0.667 0.333 0.812
I1 I 0.333 0.667 0.506
I2 I 0.667 0.333 0.164
```

Peak list (10 most intense, 2θ = 15–90°, in order of rising 2θ)
- 2θ = 25.12°, rel. 63, (1 0 1)
- 2θ = 28.24°, rel. 35, (1 0 2)
- 2θ = 32.83°, rel. 100, (1 0 3)
- 2θ = 38.43°, rel. 14, (0 1 4)
- 2θ = 42.21°, rel. 44, (1 1 0)
- 2θ = 44.76°, rel. 17, (0 1 5)
- 2θ = 44.97°, rel. 23, (0 0 6)
- 2θ = 54.48°, rel. 24, (0 2 3)
- 2θ = 63.41°, rel. 25, (1 1 6)
- 2θ = 71.24°, rel. 21, (2 1 3)